Simulated powder diffraction line list
Compound: K2UW2O10
Radiation: copper Kα
Structure: a GGA+U-relaxed structure
Peak positions follow from Bragg's law for the DFT cell and can differ from measured ones.

Main lines, in order of falling intensity (2θ = 10–80°):
2θ 12.3, I 100, (2 0 0); 2θ 26.0, I 68, (1 2 1); 2θ 31.2, I 35, (1 0 3); 2θ 15.9, I 26, (2 0 1); 2θ 31.5, I 24, (3 2 1); 2θ 27.6, I 22, (3 0 2)

Structural model:
Lattice parameters (Å, degrees): 14.3588 7.6982 8.7814 90.00 90.00 90.00
Fractional coordinates of all 60 atoms:
K (0.2000, 0.2500, 0.1553)
K (0.2156, 0.7500, 0.1758)
K (0.2844, 0.2500, 0.6758)
K (0.3000, 0.7500, 0.6553)
K (0.7000, 0.2500, 0.3447)
K (0.7156, 0.7500, 0.3242)
K (0.7844, 0.2500, 0.8242)
K (0.8000, 0.7500, 0.8447)
U (0.0034, 0.7500, 0.5250)
U (0.4966, 0.2500, 0.0250)
U (0.5034, 0.7500, 0.9750)
U (0.9966, 0.2500, 0.4750)
W (0.0688, 0.5012, 0.8539)
W (0.0688, 0.9988, 0.8539)
W (0.4312, 0.0012, 0.3539)
W (0.4312, 0.4988, 0.3539)
W (0.5688, 0.5012, 0.6461)
W (0.5688, 0.9988, 0.6461)
W (0.9312, 0.0012, 0.1461)
W (0.9312, 0.4988, 0.1461)
O (0.0158, 0.0274, 0.6471)
O (0.0158, 0.4726, 0.6471)
O (0.0351, 0.7500, 0.8103)
O (0.0761, 0.5313, 0.0680)
O (0.0761, 0.9687, 0.0680)
O (0.0772, 0.2500, 0.8665)
O (0.1226, 0.2500, 0.4424)
O (0.1292, 0.7500, 0.4873)
O (0.1894, 0.5276, 0.8102)
O (0.1894, 0.9724, 0.8102)
O (0.3106, 0.0276, 0.3102)
O (0.3106, 0.4724, 0.3102)
O (0.3708, 0.2500, 0.9873)
O (0.3774, 0.7500, 0.9424)
O (0.4228, 0.7500, 0.3665)
O (0.4239, 0.0313, 0.5680)
O (0.4239, 0.4687, 0.5680)
O (0.4649, 0.2500, 0.3103)
O (0.4842, 0.5274, 0.1471)
O (0.4842, 0.9726, 0.1471)
O (0.5158, 0.0274, 0.8529)
O (0.5158, 0.4726, 0.8529)
O (0.5351, 0.7500, 0.6897)
O (0.5761, 0.5313, 0.4320)
O (0.5761, 0.9687, 0.4320)
O (0.5772, 0.2500, 0.6335)
O (0.6226, 0.2500, 0.0576)
O (0.6292, 0.7500, 0.0127)
O (0.6894, 0.5276, 0.6898)
O (0.6894, 0.9724, 0.6898)
O (0.8106, 0.0276, 0.1898)
O (0.8106, 0.4724, 0.1898)
O (0.8708, 0.2500, 0.5127)
O (0.8774, 0.7500, 0.5576)
O (0.9228, 0.7500, 0.1335)
O (0.9239, 0.0313, 0.9320)
O (0.9239, 0.4687, 0.9320)
O (0.9649, 0.2500, 0.1897)
O (0.9842, 0.5274, 0.3529)
O (0.9842, 0.9726, 0.3529)